[1]
Simulated powder diffractogram
Compound: La3DyPb2
Radiation: Cu Kα X-rays
Structure: a DFT-relaxed cell (PBE, Alexandria)
Kinematic intensities with the Lorentz-polarization factor, no thermal factor.

Crystal structure
Cell: 4.7680 4.7680 8.9617 Å, 90.00 90.00 90.00°
Element x y z (fractional)
La  0.0000  0.0000  0.0000
La  0.0000  0.5000  0.6528
La  0.5000  0.0000  0.3472
Dy  0.5000  0.5000  0.0000
Pb  0.0000  0.5000  0.2771
Pb  0.5000  0.0000  0.7229

Largest 12 diffraction maxima, in order of rising 2θ, 2θ from 10° to 90°:
21.11°, I 16, (1 0 1); 26.44°, I 22, (1 1 0); 28.28°, I 69, (1 1 1); 29.91°, I 32, (0 0 3); 33.26°, I 100, (1 1 2); 35.46°, I 26, (1 0 3); 37.73°, I 57, (2 0 0); 48.87°, I 35, (2 0 3); 52.74°, I 17, (2 1 3); 54.43°, I 20, (2 2 0); 63.35°, I 15, (2 2 3); 65.29°, I 29, (3 1 2)


[2]
Simulated powder diffractogram
Compound: LaDyTlPb
Radiation: Cu Kα X-rays
Structure: a DFT-relaxed cell (PBE, Alexandria)
Kinematic intensities with the Lorentz-polarization factor, no thermal factor.

Crystal structure
Cell: 5.1359 5.1359 8.9637 Å, 90.00 90.00 90.00°
Element x y z (fractional)
La  0.0000  0.0000  0.0000
La  0.5000  0.5000  0.5000
Dy  0.0000  0.0000  0.5000
Dy  0.5000  0.5000  0.0000
Tl  0.0000  0.5000  0.2500
Tl  0.5000  0.0000  0.7500
Pb  0.0000  0.5000  0.7500
Pb  0.5000  0.0000  0.2500

Largest 12 diffraction maxima, in order of rising 2θ, 2θ from 10° to 90°:
31.71°, I 100, (1 1 2); 34.94°, I 39, (2 0 0); 40.24°, I 13, (0 0 4); 50.25°, I 14, (2 2 0); 54.33°, I 22, (2 0 4); 60.65°, I 32, (3 1 2); 66.25°, I 12, (2 2 4); 67.83°, I 12, (1 1 6); 82.55°, I 7, (3 3 2); 84.33°, I 7, (4 2 0); 87.58°, I 6, (4 0 4); 89.04°, I 12, (3 1 6)